Entry 1:
Simulated PXRD pattern of Na3Ga3Pt2 for Cu Kα (λ = 1.5418 Å), from a GGA-PBE-relaxed structure.

Unit cell a=8.312 b=14.547 c=5.811 alpha=90.00 beta=90.00 gamma=90.00
Fractional positions:
Na 0.048 0.112 0.105
Na 0.048 0.388 0.105
Na 0.221 0.250 0.593
Na 0.279 0.750 0.093
Na 0.452 0.612 0.605
Na 0.452 0.888 0.605
Na 0.548 0.112 0.395
Na 0.548 0.388 0.395
Na 0.721 0.250 0.907
Na 0.779 0.750 0.407
Na 0.952 0.612 0.895
Na 0.952 0.888 0.895
Ga 0.124 0.750 0.550
Ga 0.186 0.042 0.638
Ga 0.186 0.458 0.638
Ga 0.314 0.542 0.138
Ga 0.314 0.958 0.138
Ga 0.376 0.250 0.050
Ga 0.624 0.750 0.950
Ga 0.686 0.042 0.862
Ga 0.686 0.458 0.862
Ga 0.814 0.542 0.362
Ga 0.814 0.958 0.362
Ga 0.876 0.250 0.450
Pt 0.100 0.594 0.403
Pt 0.100 0.906 0.403
Pt 0.400 0.094 0.903
Pt 0.400 0.406 0.903
Pt 0.600 0.594 0.097
Pt 0.600 0.906 0.097
Pt 0.900 0.094 0.597
Pt 0.900 0.406 0.597

Top 10 peaks for 10 to 90 degrees two-theta, low angle first:
2θ/deg	I/Imax
12.17	45.6
18.63	100.0
19.61	25.2
22.26	40.7
23.90	45.2
36.28	21.4
36.45	27.5
37.08	21.6
37.68	56.7
40.59	22.7

Entry 2:
Simulated PXRD pattern of Ta4BiSe8 for Cu Kα (λ = 1.5418 Å), from a GGA-PBE-relaxed structure.

Unit cell a=9.099 b=9.099 c=9.099 alpha=44.84 beta=44.84 gamma=44.84
Fractional positions:
Ta 0.000 0.000 0.000
Ta 0.000 0.500 0.500
Ta 0.500 0.000 0.500
Ta 0.500 0.500 0.000
Bi 0.500 0.500 0.500
Se 0.238 0.238 0.732
Se 0.238 0.732 0.238
Se 0.265 0.265 0.265
Se 0.268 0.762 0.762
Se 0.732 0.238 0.238
Se 0.735 0.735 0.735
Se 0.762 0.268 0.762
Se 0.762 0.762 0.268

Top 10 peaks for 10 to 90 degrees two-theta, low angle first:
2θ/deg	I/Imax
10.83	93.1
15.18	12.9
33.20	100.0
39.52	21.1
42.12	46.2
51.03	13.9
52.75	28.4
63.77	15.2
71.32	14.3
87.29	13.4

Entry 3:
Simulated PXRD pattern of CdHg4Se5 for Cu Kα (λ = 1.5418 Å), from a GGA-PBE-relaxed structure.

Unit cell a=4.419 b=4.419 c=36.116 alpha=90.00 beta=90.00 gamma=120.00
Fractional positions:
Cd 0.000 0.000 0.000
Cd 0.000 0.000 0.199
Hg 0.000 0.000 0.398
Hg 0.000 0.000 0.599
Hg 0.000 0.000 0.800
Hg 0.333 0.667 0.099
Hg 0.333 0.667 0.298
Hg 0.333 0.667 0.499
Hg 0.333 0.667 0.699
Hg 0.333 0.667 0.900
Se 0.000 0.000 0.124
Se 0.000 0.000 0.323
Se 0.000 0.000 0.524
Se 0.000 0.000 0.725
Se 0.000 0.000 0.925
Se 0.333 0.667 0.024
Se 0.333 0.667 0.222
Se 0.333 0.667 0.423
Se 0.333 0.667 0.624
Se 0.333 0.667 0.825

Top 10 peaks for 10 to 90 degrees two-theta, low angle first:
2θ/deg	I/Imax
23.24	83.6
24.65	55.1
26.35	100.0
34.13	37.1
40.84	76.8
44.45	78.2
48.29	55.0
61.94	29.2
69.56	20.8
76.88	31.6

Entry 4:
Simulated PXRD pattern of Pm2PrOsC2 for Cu Kα (λ = 1.5418 Å), from a GGA-PBE-relaxed structure.

Unit cell a=5.769 b=11.341 c=3.915 alpha=90.00 beta=90.00 gamma=90.00
Fractional positions:
Pm 0.032 0.204 0.000
Pm 0.468 0.704 0.500
Pm 0.532 0.296 0.500
Pm 0.968 0.796 0.000
Pr 0.000 0.500 0.500
Pr 0.500 0.000 0.000
Os 0.000 0.000 0.500
Os 0.500 0.500 0.000
C 0.247 0.616 0.000
C 0.253 0.116 0.500
C 0.747 0.884 0.500
C 0.753 0.384 0.000

Top 10 peaks for 10 to 90 degrees two-theta, low angle first:
2θ/deg	I/Imax
17.24	10.4
31.00	27.4
31.56	14.4
31.81	100.0
32.94	9.0
44.82	12.6
46.39	11.1
55.66	18.0
56.84	10.1
76.74	8.0